Starting from a DFT-relaxed cell (GGA-PBE, the Materials Project), the powder diffraction line list of DyFe2 was computed for Cu Ka.
Kinematic intensities with the Lorentz-polarization factor, no thermal factor.

Structural model:
Cell lengths 5.1367, 5.1367, 5.1367 Å; angles 60.00, 60.00, 60.00 degrees
Atoms (fractional coordinates):
Dy 0.1250 0.1250 0.1250
Dy 0.8750 0.8750 0.8750
Fe 0.0000 0.5000 0.5000
Fe 0.5000 0.0000 0.5000
Fe 0.5000 0.5000 0.0000
Fe 0.5000 0.5000 0.5000

Largest 10 diffraction maxima, by intensity, 2θ from 10° to 90°:
2θ (°)	Rel. int.
41.2	100
34.9	68
66.9	30
62.6	25
73.8	22
21.2	17
43.1	13
84.3	11
88.2	11
55.1	5